Record 1
Structure and calculated X-ray diffraction stick pattern of La2PBr2 (DFT lattice parameters and positions (PBE); Cu Kα, 1.54184 Å).
Lines closer than 0.1° are merged.

The 10 most intense peaks (15° ≤ 2θ ≤ 90°), low angle first:
two_theta	intensity	(hkl)
17.36	10	0 0 2
24.09	22	1 0 0
29.84	100	0 1 2
42.37	31	1 1 0
43.05	30	1 0 4
52.68	20	2 0 2
61.99	10	0 2 4
69.82	17	1 2 2
70.80	12	1 1 6
77.97	10	2 1 4

```
data_La2PBr2
_space_group_name_H-M_alt 'P -3 m 1'
_space_group_IT_number 164
_space_group_name_Hall '-P 3 2"'
_cell_length_a 4.2665
_cell_length_b 4.2665
_cell_length_c 10.2174
_cell_angle_alpha 90.00
_cell_angle_beta 90.00
_cell_angle_gamma 120.00
loop_
_atom_site_label
_atom_site_type_symbol
_atom_site_fract_x
_atom_site_fract_y
_atom_site_fract_z
_atom_site_occupancy
La1 La 0.3333 0.6667 0.1606 1
P1 P 0.0000 0.0000 0.0000 1
Br1 Br 0.3333 0.6667 0.6559 1
```

Record 2
Structure and calculated X-ray diffraction stick pattern of Rb2LaBr5 (DFT lattice parameters and positions (PBE); Cu Kα, 1.54184 Å).
Lines closer than 0.1° are merged.

The 10 most intense peaks (15° ≤ 2θ ≤ 90°), low angle first:
two_theta	intensity	(hkl)
24.58	27	2 2 1
26.89	66	4 0 1
28.19	100	1 2 2
28.31	53	3 2 1
30.24	63	2 2 2
31.26	43	4 2 0
34.18	42	2 1 3
37.71	66	0 4 0
38.05	46	5 2 1
40.75	32	0 0 4

```
data_Rb2LaBr5
_space_group_name_H-M_alt 'P n m a'
_space_group_IT_number 62
_cell_length_a 14.3024
_cell_length_b 9.5447
_cell_length_c 8.8550
_cell_angle_alpha 90.00
_cell_angle_beta 90.00
_cell_angle_gamma 90.00
loop_
_space_group_symop_operation_xyz
'x,y,z'
'-x,-y,-z'
'-x+1/2,-y,z+1/2'
'x+1/2,y,-z+1/2'
'x+1/2,-y+1/2,-z+1/2'
'-x+1/2,y+1/2,z+1/2'
'-x,y+1/2,-z'
'x,-y+1/2,z'
loop_
_atom_site_label
_atom_site_type_symbol
_atom_site_fract_x
_atom_site_fract_y
_atom_site_fract_z
_atom_site_occupancy
Rb1 Rb 0.1725 0.0049 0.0531 1
La1 La 0.0041 0.2500 0.5736 1
Br1 Br 0.0088 0.2500 0.9144 1
Br2 Br 0.0745 0.5425 0.6605 1
Br3 Br 0.1744 0.2500 0.3782 1
Br4 Br 0.1984 0.7500 0.3399 1
```